Record 1
Computed powder X-ray diffraction pattern of Ca7Cd2Ag2 for Cu Kα, 1.54184 Å, from a DFT-relaxed cell (GGA-PBE, Alexandria).

Structure:
```
data_Ca7Cd2Ag2
_chemical_formula_sum 'Ca14 Cd4 Ag4'
_space_group_name_H-M_alt 'C m m m'
_space_group_IT_number 65
_space_group_name_Hall '-C 2 2'
_cell_length_a 8.4859
_cell_length_b 11.6752
_cell_length_c 7.5460
_cell_angle_alpha 90.00
_cell_angle_beta 90.00
_cell_angle_gamma 90.00
loop_
_atom_site_label
_atom_site_type_symbol
_atom_site_fract_x
_atom_site_fract_y
_atom_site_fract_z
Ca1 Ca 0.0000 0.0000 0.0000
Ca2 Ca 0.0000 0.5000 0.2541
Ca3 Ca 0.2500 0.2500 0.2699
Cd1 Cd 0.1725 0.0000 0.5000
Ag1 Ag 0.0000 0.2886 0.0000
```

Largest 10 diffraction maxima, by intensity, 10 to 90 degrees two-theta:
2θ/deg, I/Imax
19.22, 100
35.35, 92
24.06, 76
34.76, 66
30.63, 51
41.23, 37
38.99, 27
39.33, 26
17.47, 25
26.97, 22

***

Record 2
Computed powder X-ray diffraction pattern of Ca2CdAg4 for Cu Kα, 1.54184 Å, from a DFT-relaxed cell (GGA-PBE, Alexandria).

Structure:
```
data_Ca2CdAg4
_chemical_formula_sum 'Ca8 Cd4 Ag16'
_space_group_name_H-M_alt 'F m m m'
_space_group_IT_number 69
_space_group_name_Hall '-F 2 2'
_cell_length_a 5.8282
_cell_length_b 9.1253
_cell_length_c 15.5587
_cell_angle_alpha 90.00
_cell_angle_beta 90.00
_cell_angle_gamma 90.00
loop_
_atom_site_label
_atom_site_type_symbol
_atom_site_fract_x
_atom_site_fract_y
_atom_site_fract_z
Ca1 Ca 0.0000 0.0000 0.1187
Cd1 Cd 0.0000 0.0000 0.5000
Ag1 Ag 0.0000 0.0000 0.3115
Ag2 Ag 0.2500 0.2500 0.0000
```

Largest 10 diffraction maxima, by intensity, 10 to 90 degrees two-theta:
2θ/deg, I/Imax
36.59, 100
34.11, 90
11.37, 68
22.59, 58
18.95, 46
44.46, 42
39.50, 40
51.23, 39
34.59, 31
22.86, 27

***

Record 3
Computed powder X-ray diffraction pattern of CaCd3Ag8 for Cu Kα, 1.54184 Å, from a DFT-relaxed cell (GGA-PBE, Alexandria).

Structure:
```
data_CaCd3Ag8
_chemical_formula_sum 'Ca3 Cd9 Ag24'
_space_group_name_H-M_alt 'R 3 m'
_space_group_IT_number 160
_space_group_name_Hall 'R 3 -2"'
_cell_length_a 5.6172
_cell_length_b 5.6172
_cell_length_c 27.2064
_cell_angle_alpha 90.00
_cell_angle_beta 90.00
_cell_angle_gamma 120.00
loop_
_atom_site_label
_atom_site_type_symbol
_atom_site_fract_x
_atom_site_fract_y
_atom_site_fract_z
Ca1 Ca 0.0000 0.0000 0.0000
Cd1 Cd 0.0000 0.0000 0.1277
Cd2 Cd 0.0000 0.0000 0.5000
Cd3 Cd 0.0000 0.0000 0.6189
Ag1 Ag 0.0000 0.0000 0.3125
Ag2 Ag 0.0000 0.0000 0.8127
Ag3 Ag 0.0010 0.5005 0.0637
Ag4 Ag 0.1671 0.3342 0.8949
```

Largest 10 diffraction maxima, by intensity, 10 to 90 degrees two-theta:
2θ/deg, I/Imax
37.67, 100
39.34, 72
37.57, 53
37.89, 52
66.59, 28
67.17, 26
60.80, 24
31.86, 23
60.65, 23
32.11, 22

***

Record 4
Computed powder X-ray diffraction pattern of CaCd3Ag3 for Cu Kα, 1.54184 Å, from a DFT-relaxed cell (GGA-PBE, Alexandria).

Structure:
```
data_CaCd3Ag3
_chemical_formula_sum 'Ca2 Cd6 Ag6'
_space_group_name_H-M_alt 'P 63/m'
_space_group_IT_number 176
_space_group_name_Hall '-P 6c'
_cell_length_a 8.3773
_cell_length_b 8.3773
_cell_length_c 4.9017
_cell_angle_alpha 90.00
_cell_angle_beta 90.00
_cell_angle_gamma 120.00
loop_
_atom_site_label
_atom_site_type_symbol
_atom_site_fract_x
_atom_site_fract_y
_atom_site_fract_z
Ca1 Ca 0.3333 0.6667 0.2500
Cd1 Cd 0.0040 0.7767 0.2500
Ag1 Ag 0.0817 0.6131 0.7500
```

Largest 10 diffraction maxima, by intensity, 10 to 90 degrees two-theta:
2θ/deg, I/Imax
37.59, 100
36.67, 25
32.66, 22
66.63, 17
70.86, 13
49.91, 13
58.28, 12
71.45, 8
21.21, 7
21.88, 5

***

Record 5
Computed powder X-ray diffraction pattern of Ca2Cd12Ag7 for Cu Kα, 1.54184 Å, from a DFT-relaxed cell (GGA-PBE, Alexandria).

Structure:
```
data_Ca2Cd12Ag7
_chemical_formula_sum 'Ca2 Cd12 Ag7'
_space_group_name_H-M_alt 'P -6'
_space_group_IT_number 174
_cell_length_a 12.3642
_cell_length_b 12.3642
_cell_length_c 3.4656
_cell_angle_alpha 90.00
_cell_angle_beta 90.00
_cell_angle_gamma 120.00
loop_
_space_group_symop_operation_xyz
'x,y,z'
'-x+y,-x,-z'
'-y,x-y,z'
'x,y,-z'
'-x+y,-x,z'
'-y,x-y,-z'
loop_
_atom_site_label
_atom_site_type_symbol
_atom_site_fract_x
_atom_site_fract_y
_atom_site_fract_z
Ca1 Ca 0.0000 0.0000 0.0000
Ca2 Ca 0.3333 0.6667 0.5000
Cd1 Cd 0.0495 0.7891 0.5000
Cd2 Cd 0.1236 0.4089 0.0000
Cd3 Cd 0.4079 0.2455 0.0000
Cd4 Cd 0.5117 0.1009 0.5000
Ag1 Ag 0.0878 0.6163 0.0000
Ag2 Ag 0.2409 0.0428 0.5000
Ag3 Ag 0.6667 0.3333 0.0000
```

Largest 10 diffraction maxima, by intensity, 10 to 90 degrees two-theta:
2θ/deg, I/Imax
34.06, 100
38.53, 90
67.27, 32
39.98, 28
66.86, 20
52.36, 16
52.83, 15
36.13, 15
27.04, 13
42.68, 13

***

Record 6
Computed powder X-ray diffraction pattern of Ca2Cd6CuAg for Cu Kα, 1.54184 Å, from a DFT-relaxed cell (GGA-PBE, Alexandria).

Structure:
```
data_Ca2Cd6CuAg
_chemical_formula_sum 'Ca12 Cd36 Cu6 Ag6'
_space_group_name_H-M_alt 'R -3 m'
_space_group_IT_number 166
_space_group_name_Hall '-R 3 2"'
_cell_length_a 6.9673
_cell_length_b 6.9673
_cell_length_c 35.8657
_cell_angle_alpha 90.00
_cell_angle_beta 90.00
_cell_angle_gamma 120.00
loop_
_atom_site_label
_atom_site_type_symbol
_atom_site_fract_x
_atom_site_fract_y
_atom_site_fract_z
Ca1 Ca 0.0000 0.0000 0.1085
Ca2 Ca 0.0000 0.0000 0.2809
Cd1 Cd 0.0388 0.5194 0.2999
Cd2 Cd 0.0583 0.5291 0.8644
Cu1 Cu 0.0000 0.0000 0.0000
Cu2 Cu 0.0000 0.0000 0.5000
Ag1 Ag 0.0000 0.0000 0.4264
```

Largest 10 diffraction maxima, by intensity, 10 to 90 degrees two-theta:
2θ/deg, I/Imax
34.50, 100
19.22, 51
32.19, 50
39.85, 46
52.54, 35
40.78, 32
14.86, 32
46.50, 24
35.79, 19
50.85, 18